Record 1
Structure and computed X-ray diffraction stick pattern of RbAgGeTe2Se (a crystal structure in OQMD, relaxed with PBE; λ = 1.5418 Å (Cu Kα)).
Kinematic intensities with the Lorentz-polarization factor, no thermal factor.

Structural model:
Cell lengths 3.873, 16.441, 11.417 Å; angles 90.00, 90.00, 90.00 degrees
Space group Cmcm (No. 63)
Symmetry-distinct sites (fractional):
Rb1 0.000 0.237 0.250 (multiplicity 4)
Ag1 0.000 0.055 0.750 (multiplicity 4)
Ge1 0.000 0.500 0.000 (multiplicity 4)
Te1 0.000 0.127 0.530 (multiplicity 8)
Se1 0.000 0.446 0.750 (multiplicity 4)

Principal peaks in the range 2θ = 5–70°, in order of falling intensity:
2theta	I/Imax
29.30	100
31.34	75
26.73	61
46.95	59
10.76	58
32.36	55
28.21	48
49.22	44
39.25	37
68.61	27



Record 2
Structure and computed X-ray diffraction stick pattern of SmZn2CuPd2 (a crystal structure in OQMD, relaxed with PBE; λ = 1.5418 Å (Cu Kα)).
Kinematic intensities with the Lorentz-polarization factor, no thermal factor.

Structural model:
Cell lengths 5.295, 9.155, 4.306 Å; angles 90.00, 90.00, 90.00 degrees
Space group Cmmm (No. 65)
Symmetry-distinct sites (fractional):
Sm1 0.000 0.000 0.000 (multiplicity 2)
Zn1 0.250 0.250 0.500 (multiplicity 4)
Cu1 0.000 0.500 0.500 (multiplicity 2)
Pd1 0.000 0.333 0.000 (multiplicity 4)

Principal peaks in the range 2θ = 5–70°, in order of falling intensity:
2theta	I/Imax
40.00	100
33.89	36
41.97	25
64.77	23
54.99	18
39.33	18
28.45	16
20.63	12
44.82	11
58.87	10